1.
Computed X-ray powder pattern
Compound: KTi16O32
Radiation: λ = 1.5418 Å (Cu Kα)
Structure: a PBE-relaxed structure
Kinematic intensities with the Lorentz-polarization factor, no thermal factor.

Crystal structure
Unit cell a=8.536 b=8.537 c=10.414 alpha=112.04 beta=102.64 gamma=105.95
Space group P-1 (No. 2)
Symmetry-distinct sites (fractional):
K 0.000 0.000 0.000 (multiplicity 1)
Ti 0.066 0.481 0.250 (multiplicity 2)
Ti 0.116 0.182 0.639 (multiplicity 2)
Ti 0.134 0.818 0.610 (multiplicity 2)
Ti 0.185 0.524 0.003 (multiplicity 2)
Ti 0.315 0.476 0.497 (multiplicity 2)
Ti 0.370 0.183 0.888 (multiplicity 2)
Ti 0.384 0.818 0.860 (multiplicity 2)
Ti 0.435 0.524 0.254 (multiplicity 2)
O 0.020 0.637 0.969 (multiplicity 2)
O 0.075 0.376 0.780 (multiplicity 2)
O 0.122 0.052 0.759 (multiplicity 2)
O 0.124 0.706 0.750 (multiplicity 2)
O 0.126 0.295 0.502 (multiplicity 2)
O 0.127 0.948 0.493 (multiplicity 2)
O 0.175 0.624 0.470 (multiplicity 2)
O 0.228 0.363 0.280 (multiplicity 2)
O 0.270 0.635 0.218 (multiplicity 2)
O 0.324 0.374 0.030 (multiplicity 2)
O 0.371 0.051 0.008 (multiplicity 2)
O 0.374 0.705 0.998 (multiplicity 2)
O 0.376 0.295 0.752 (multiplicity 2)
O 0.378 0.948 0.743 (multiplicity 2)
O 0.424 0.624 0.720 (multiplicity 2)
O 0.480 0.366 0.532 (multiplicity 2)

Top 6 peaks for 10 to 90 degrees two-theta, in order of falling intensity:
two_theta	I (rel.)
12.18	100
17.25	88
27.44	76
35.88	63
47.53	38
57.30	36


2.
Computed X-ray powder pattern
Compound: SmGaPd
Radiation: λ = 1.5418 Å (Cu Kα)
Structure: a PBE-relaxed structure
Kinematic intensities with the Lorentz-polarization factor, no thermal factor.

Crystal structure
Unit cell a=7.106 b=4.507 c=7.779 alpha=90.00 beta=90.00 gamma=90.00
Space group Pnma (No. 62)
Symmetry-distinct sites (fractional):
Sm 0.018 0.250 0.202 (multiplicity 4)
Ga 0.183 0.250 0.580 (multiplicity 4)
Pd 0.213 0.750 0.409 (multiplicity 4)

Top 6 peaks for 10 to 90 degrees two-theta, in order of falling intensity:
two_theta	I (rel.)
34.15	100
40.12	38
32.93	30
40.01	28
53.62	15
65.46	14


3.
Computed X-ray powder pattern
Compound: Pm2CuOs
Radiation: λ = 1.5418 Å (Cu Kα)
Structure: a PBE-relaxed structure
Kinematic intensities with the Lorentz-polarization factor, no thermal factor.

Crystal structure
Unit cell a=7.038 b=7.038 c=7.038 alpha=90.00 beta=90.00 gamma=90.00
Space group Fm-3m (No. 225)
Symmetry-distinct sites (fractional):
Pm 0.250 0.250 0.250 (multiplicity 8)
Cu 0.000 0.000 0.000 (multiplicity 4)
Os 0.000 0.000 0.500 (multiplicity 4)

Top 6 peaks for 10 to 90 degrees two-theta, in order of falling intensity:
two_theta	I (rel.)
36.09	100
64.90	36
51.97	18
87.69	16
76.57	11
21.87	10


4.
Computed X-ray powder pattern
Compound: LiGaBr3
Radiation: λ = 1.5418 Å (Cu Kα)
Structure: a PBE-relaxed structure
Kinematic intensities with the Lorentz-polarization factor, no thermal factor.

Crystal structure
Unit cell a=6.697 b=10.621 c=8.156 alpha=90.00 beta=93.66 gamma=90.00
Space group P2_1/m (No. 11)
Symmetry-distinct sites (fractional):
Li 0.000 0.000 0.000 (multiplicity 2)
Li 0.500 0.000 0.500 (multiplicity 2)
Ga 0.030 0.250 0.538 (multiplicity 2)
Ga 0.135 0.250 0.257 (multiplicity 2)
Br 0.130 0.750 0.959 (multiplicity 2)
Br 0.176 0.070 0.688 (multiplicity 4)
Br 0.327 0.750 0.431 (multiplicity 2)
Br 0.334 0.069 0.186 (multiplicity 4)

Top 6 peaks for 10 to 90 degrees two-theta, in order of falling intensity:
two_theta	I (rel.)
28.53	100
27.64	98
23.41	74
26.28	70
51.83	56
29.49	54


5.
Computed X-ray powder pattern
Compound: Ca4H16C8O25
Radiation: λ = 1.5418 Å (Cu Kα)
Structure: a PBE-relaxed structure
Kinematic intensities with the Lorentz-polarization factor, no thermal factor.

Crystal structure
Unit cell a=12.617 b=12.617 c=7.357 alpha=90.00 beta=90.00 gamma=90.00
Space group I4 (No. 79)
Symmetry-distinct sites (fractional):
Ca 0.200 0.297 0.000 (multiplicity 8)
H 0.011 0.350 0.392 (multiplicity 8)
H 0.012 0.353 0.606 (multiplicity 8)
H 0.074 0.171 0.605 (multiplicity 8)
H 0.075 0.166 0.392 (multiplicity 8)
C 0.052 0.742 0.106 (multiplicity 8)
C 0.052 0.743 0.894 (multiplicity 8)
O 0.000 0.000 0.151 (multiplicity 2)
O 0.028 0.623 0.499 (multiplicity 8)
O 0.038 0.261 0.816 (multiplicity 8)
O 0.038 0.266 0.184 (multiplicity 8)
O 0.117 0.148 0.500 (multiplicity 8)
O 0.141 0.747 0.817 (multiplicity 8)
O 0.142 0.745 0.182 (multiplicity 8)

Top 6 peaks for 10 to 90 degrees two-theta, in order of falling intensity:
two_theta	I (rel.)
14.04	100
31.67	88
19.84	30
40.09	26
45.44	22
47.51	18


6.
Computed X-ray powder pattern
Compound: MgH2Cl2O
Radiation: λ = 1.5418 Å (Cu Kα)
Structure: a PBE-relaxed structure
Kinematic intensities with the Lorentz-polarization factor, no thermal factor.

Crystal structure
Unit cell a=8.975 b=3.695 c=11.581 alpha=90.00 beta=90.00 gamma=90.00
Space group Pnma (No. 62)
Symmetry-distinct sites (fractional):
Mg 0.182 0.250 0.018 (multiplicity 4)
H 0.060 0.750 0.641 (multiplicity 4)
H 0.195 0.750 0.731 (multiplicity 4)
Cl 0.035 0.750 0.122 (multiplicity 4)
Cl 0.191 0.250 0.408 (multiplicity 4)
O 0.169 0.750 0.649 (multiplicity 4)

Top 6 peaks for 10 to 90 degrees two-theta, in order of falling intensity:
two_theta	I (rel.)
30.37	100
32.32	60
12.48	55
15.30	55
47.41	53
39.27	50